The following is a theoretical powder diffractogram of MgV4O6F6. It was derived from a PBE+U-relaxed structure, using Cu Kα (weighted mean of Kα1 and Kα2).

Cell and atoms:
a b c (Å): 5.1711 5.1979 9.3798
angles (deg): 76.81 75.45 60.56
Element x y z (fractional)
Mg 0.0000 0.0000 0.0000
V 0.1691 0.0682 0.6724
V 0.3256 0.3462 0.9538
V 0.5934 0.5781 0.1997
V 0.8876 0.8483 0.4483
O 0.2560 0.7761 0.3154
O 0.2913 0.1379 0.8348
O 0.3446 0.5872 0.0609
O 0.4994 0.8655 0.5728
O 0.9104 0.0489 0.5610
O 0.9534 0.3564 0.0775
F 0.0973 0.4599 0.5717
F 0.1136 0.7370 0.8257
F 0.6072 0.9671 0.0746
F 0.6413 0.1874 0.3135
F 0.7384 0.2772 0.8361
F 0.8367 0.6079 0.3261

Top 10 peaks for 10° ≤ 2θ ≤ 80°, by intensity:
2θ (°), d (Å), Rel. int.
23.20, 3.834, 100.0
23.74, 3.748, 94.9
24.32, 3.660, 92.6
47.43, 1.917, 30.1
33.16, 2.702, 22.4
49.84, 1.830, 19.9
48.59, 1.874, 19.8
32.53, 2.752, 19.7
33.78, 2.653, 19.6
53.03, 1.727, 18.1

---

The following is a theoretical powder diffractogram of MgMn2Sb4O12. It was derived from a PBE+U-relaxed structure, using Cu Kα (weighted mean of Kα1 and Kα2).

Cell and atoms:
a b c (Å): 6.1656 6.1814 7.3029
angles (deg): 74.68 73.44 84.38
Element x y z (fractional)
Mg 0.0000 0.0000 0.0000
Mn 0.4587 0.0551 0.4713
Mn 0.7669 0.4187 0.1459
Sb 0.1770 0.6607 0.3241
Sb 0.2635 0.5803 0.8138
Sb 0.5136 0.9938 0.9828
Sb 0.8586 0.3161 0.6320
O 0.0225 0.6474 0.1171
O 0.1854 0.3236 0.4523
O 0.2018 0.9982 0.1787
O 0.3192 0.7336 0.5148
O 0.3446 0.9512 0.7987
O 0.4906 0.6550 0.1212
O 0.5415 0.3286 0.8267
O 0.6624 0.0681 0.1644
O 0.7246 0.2556 0.4411
O 0.8323 0.9852 0.7972
O 0.8740 0.6467 0.5201
O 0.9923 0.3530 0.8562

Top 10 peaks for 10° ≤ 2θ ≤ 80°, by intensity:
2θ (°), d (Å), Rel. int.
21.43, 4.146, 100.0
26.88, 3.317, 74.7
33.51, 2.674, 53.0
33.85, 2.648, 34.8
33.34, 2.687, 31.4
17.20, 5.155, 30.6
51.65, 1.770, 28.1
34.46, 2.602, 27.5
61.15, 1.516, 19.0
46.48, 1.954, 15.6

---

The following is a theoretical powder diffractogram of Si2NiO6. It was derived from a PBE+U-relaxed structure, using Cu Kα (weighted mean of Kα1 and Kα2).

Cell and atoms:
a b c (Å): 6.3893 6.3893 5.3178
angles (deg): 105.24 105.24 83.59
Element x y z (fractional)
Si 0.1128 0.2888 0.2558
Si 0.2888 0.1128 0.7558
Si 0.7112 0.8872 0.2442
Si 0.8872 0.7112 0.7442
Ni 0.4136 0.5864 0.7500
Ni 0.5864 0.4136 0.2500
O 0.1235 0.5828 0.7840
O 0.1376 0.1426 0.9643
O 0.1426 0.1376 0.4643
O 0.3046 0.4711 0.3630
O 0.4172 0.8765 0.7160
O 0.4711 0.3046 0.8630
O 0.5289 0.6954 0.1370
O 0.5828 0.1235 0.2840
O 0.6954 0.5289 0.6370
O 0.8574 0.8624 0.5357
O 0.8624 0.8574 0.0357
O 0.8765 0.4172 0.2160

Top 10 peaks for 10° ≤ 2θ ≤ 80°, by intensity:
2θ (°), d (Å), Rel. int.
30.18, 2.961, 100.0
14.38, 6.158, 91.8
31.90, 2.806, 77.9
20.02, 4.434, 72.0
36.08, 2.489, 61.2
20.86, 4.258, 60.7
25.61, 3.478, 32.7
42.37, 2.133, 30.7
48.10, 1.892, 26.5
58.31, 1.582, 26.1

---

The following is a theoretical powder diffractogram of Li2Fe3WO8. It was derived from a PBE+U-relaxed structure, using Cu Kα (weighted mean of Kα1 and Kα2).

Cell and atoms:
a b c (Å): 5.9330 5.9330 9.6111
angles (deg): 90.93 90.93 119.71
Element x y z (fractional)
Li 0.0002 0.9998 0.0000
Li 0.9998 0.0002 0.5000
Li 0.3476 0.6804 0.5848
Li 0.6804 0.3476 0.0848
Fe 0.1753 0.3438 0.2759
Fe 0.1763 0.8330 0.2762
Fe 0.3438 0.1753 0.7759
Fe 0.6660 0.8343 0.2756
Fe 0.8330 0.1763 0.7762
Fe 0.8343 0.6660 0.7756
W 0.3385 0.6772 0.0029
W 0.6772 0.3385 0.5029
O 0.0501 0.5495 0.1403
O 0.1605 0.3477 0.9090
O 0.1658 0.8253 0.9008
O 0.3477 0.1605 0.4090
O 0.3544 0.6918 0.3765
O 0.4861 0.9726 0.1478
O 0.5060 0.5468 0.1370
O 0.5468 0.5060 0.6370
O 0.5495 0.0501 0.6403
O 0.6555 0.8392 0.8960
O 0.6918 0.3544 0.8765
O 0.8253 0.1658 0.4008
O 0.8392 0.6555 0.3960
O 0.9726 0.4861 0.6478
O 0.9876 0.9955 0.6904
O 0.9955 0.9876 0.1904

Top 10 peaks for 10° ≤ 2θ ≤ 80°, by intensity:
2θ (°), d (Å), Rel. int.
19.32, 4.593, 100.0
19.78, 4.488, 90.1
19.62, 4.526, 86.1
35.84, 2.506, 64.8
35.31, 2.542, 40.2
34.89, 2.572, 39.7
32.51, 2.754, 33.8
32.97, 2.716, 32.4
33.36, 2.686, 30.9
62.64, 1.483, 30.0

---

The following is a theoretical powder diffractogram of K2Li3FeO4. It was derived from a PBE+U-relaxed structure, using Cu Kα (weighted mean of Kα1 and Kα2).

Cell and atoms:
a b c (Å): 5.6412 8.8961 11.1535
angles (deg): 90.00 111.03 90.00
Element x y z (fractional)
K 0.2065 0.0069 0.3616
K 0.2065 0.4931 0.8616
K 0.2204 0.2280 0.6101
K 0.2204 0.2720 0.1101
K 0.7796 0.7280 0.8899
K 0.7796 0.7720 0.3899
K 0.7935 0.5069 0.1384
K 0.7935 0.9931 0.6384
Li 0.1178 0.7390 0.7006
Li 0.1178 0.7610 0.2006
Li 0.1267 0.0082 0.9290
Li 0.1267 0.4918 0.4290
Li 0.4036 0.5341 0.2971
Li 0.4036 0.9659 0.7971
Li 0.5964 0.0341 0.2029
Li 0.5964 0.4659 0.7029
Li 0.8733 0.5082 0.5710
Li 0.8733 0.9918 0.0710
Li 0.8822 0.2390 0.7994
Li 0.8822 0.2610 0.2994
Fe 0.3983 0.7118 0.5631
Fe 0.3983 0.7882 0.0631
Fe 0.6017 0.2118 0.9369
Fe 0.6017 0.2882 0.4369
O 0.2419 0.5496 0.6227
O 0.2419 0.9504 0.1227
O 0.2454 0.1772 0.8562
O 0.2454 0.3228 0.3562
O 0.2652 0.6902 0.3802
O 0.2652 0.8098 0.8802
O 0.2820 0.6069 0.1161
O 0.2820 0.8931 0.6161
O 0.7180 0.1069 0.3839
O 0.7180 0.3931 0.8839
O 0.7348 0.1902 0.1198
O 0.7348 0.3098 0.6198
O 0.7546 0.6772 0.6438
O 0.7546 0.8228 0.1438
O 0.7581 0.0496 0.8773
O 0.7581 0.4504 0.3773

Top 10 peaks for 10° ≤ 2θ ≤ 80°, by intensity:
2θ (°), d (Å), Rel. int.
34.04, 2.634, 100.0
21.67, 4.102, 85.0
34.71, 2.584, 79.7
34.46, 2.603, 73.1
34.25, 2.618, 58.8
33.71, 2.659, 49.3
44.63, 2.031, 46.6
19.96, 4.448, 41.7
35.56, 2.525, 37.9
51.28, 1.782, 33.3